[1]
This entry pairs a crystal structure of HfBeB4 with its calculated powder diffraction line list. Radiation: Cu Kα X-rays. Structure: DFT lattice parameters and positions (PBE).
Peak positions follow from Bragg's law for the DFT cell and can differ from measured ones.

Most intense lines, 2θ from 10° to 80°, in order of rising 2θ:
- d = 5.059 Å, I = 54
- d = 3.962 Å, I = 93
- d = 3.237 Å, I = 50
- d = 3.089 Å, I = 50
- d = 2.757 Å, I = 84
- d = 2.727 Å, I = 29
- d = 2.507 Å, I = 68
- d = 2.235 Å, I = 51
- d = 2.099 Å, I = 100
- d = 1.535 Å, I = 28

Crystal structure
a b c (Å): 5.6929 11.0334 3.2369
angles (deg): 90.00 90.00 90.00
Atoms (fractional coordinates):
Hf (0.1280, 0.1514, 0.0000)
Hf (0.3720, 0.6514, 0.0000)
Hf (0.6280, 0.3486, 0.0000)
Hf (0.8720, 0.8486, 0.0000)
Be (0.1315, 0.4141, 0.0000)
Be (0.3685, 0.9141, 0.0000)
Be (0.6315, 0.0859, 0.0000)
Be (0.8685, 0.5859, 0.0000)
B (0.0264, 0.6934, 0.5000)
B (0.1144, 0.5471, 0.5000)
B (0.1338, 0.9681, 0.5000)
B (0.2135, 0.8141, 0.5000)
B (0.2865, 0.3141, 0.5000)
B (0.3662, 0.4681, 0.5000)
B (0.3856, 0.0471, 0.5000)
B (0.4736, 0.1934, 0.5000)
B (0.5264, 0.8066, 0.5000)
B (0.6144, 0.9529, 0.5000)
B (0.6338, 0.5319, 0.5000)
B (0.7135, 0.6859, 0.5000)
B (0.7865, 0.1859, 0.5000)
B (0.8662, 0.0319, 0.5000)
B (0.8856, 0.4529, 0.5000)
B (0.9736, 0.3066, 0.5000)

---

[2]
This entry pairs a crystal structure of LuBeBPt with its calculated powder diffraction line list. Radiation: Cu Kα X-rays. Structure: DFT lattice parameters and positions (PBE).
Peak positions follow from Bragg's law for the DFT cell and can differ from measured ones.

Most intense lines, 2θ from 10° to 80°, in order of rising 2θ:
- d = 3.412 Å, I = 1
- d = 2.954 Å, I = 100
- d = 2.089 Å, I = 89
- d = 1.706 Å, I = 28
- d = 1.477 Å, I = 15
- d = 1.321 Å, I = 36
- d = 1.206 Å, I = 31

Crystal structure
a b c (Å): 4.1782 4.1782 4.1782
angles (deg): 60.00 60.00 60.00
Atoms (fractional coordinates):
Lu (0.0000, 0.0000, 0.0000)
Be (0.2500, 0.2500, 0.2500)
B (0.7500, 0.7500, 0.7500)
Pt (0.5000, 0.5000, 0.5000)

---

[3]
This entry pairs a crystal structure of Cu2BiB with its calculated powder diffraction line list. Radiation: Cu Kα X-rays. Structure: DFT lattice parameters and positions (PBE).
Peak positions follow from Bragg's law for the DFT cell and can differ from measured ones.

Most intense lines, 2θ from 10° to 80°, in order of rising 2θ:
- d = 6.307 Å, I = 18
- d = 3.641 Å, I = 29
- d = 3.153 Å, I = 16
- d = 2.821 Å, I = 79
- d = 2.230 Å, I = 100
- d = 2.102 Å, I = 32
- d = 1.530 Å, I = 26
- d = 1.410 Å, I = 20
- d = 1.376 Å, I = 12
- d = 1.287 Å, I = 22

Crystal structure
a b c (Å): 6.3069 6.3069 6.3069
angles (deg): 90.00 90.00 90.00
Atoms (fractional coordinates):
Cu (0.1959, 0.1959, 0.1959)
Cu (0.1959, 0.1959, 0.8041)
Cu (0.1959, 0.8041, 0.1959)
Cu (0.1959, 0.8041, 0.8041)
Cu (0.8041, 0.1959, 0.1959)
Cu (0.8041, 0.1959, 0.8041)
Cu (0.8041, 0.8041, 0.1959)
Cu (0.8041, 0.8041, 0.8041)
Bi (0.0000, 0.5000, 0.5000)
Bi (0.5000, 0.0000, 0.5000)
Bi (0.5000, 0.5000, 0.0000)
Bi (0.5000, 0.5000, 0.5000)
B (0.0000, 0.0000, 0.0000)
B (0.0000, 0.0000, 0.5000)
B (0.0000, 0.5000, 0.0000)
B (0.5000, 0.0000, 0.0000)

---

[4]
This entry pairs a crystal structure of DyBiB4 with its calculated powder diffraction line list. Radiation: Cu Kα X-rays. Structure: DFT lattice parameters and positions (PBE).
Peak positions follow from Bragg's law for the DFT cell and can differ from measured ones.

Most intense lines, 2θ from 10° to 80°, in order of rising 2θ:
- d = 4.373 Å, I = 92
- d = 2.759 Å, I = 68
- d = 2.688 Å, I = 31
- d = 2.333 Å, I = 100
- d = 2.290 Å, I = 48
- d = 2.186 Å, I = 22
- d = 1.713 Å, I = 34
- d = 1.696 Å, I = 16
- d = 1.474 Å, I = 20
- d = 1.316 Å, I = 17

Crystal structure
a b c (Å): 5.3784 5.3784 5.3784
angles (deg): 145.22 120.03 71.22
Atoms (fractional coordinates):
Dy (0.0000, 0.0000, 0.0000)
Bi (0.5000, 0.5000, 0.0000)
B (0.0657, 0.7401, 0.3256)
B (0.4146, 0.7401, 0.6744)
B (0.5854, 0.2599, 0.3256)
B (0.9343, 0.2599, 0.6744)

---

[5]
This entry pairs a crystal structure of Nb3BiB3 with its calculated powder diffraction line list. Radiation: Cu Kα X-rays. Structure: DFT lattice parameters and positions (PBE).
Peak positions follow from Bragg's law for the DFT cell and can differ from measured ones.

Most intense lines, 2θ from 10° to 80°, in order of rising 2θ:
- d = 3.328 Å, I = 21
- d = 3.119 Å, I = 28
- d = 2.833 Å, I = 60
- d = 2.625 Å, I = 100
- d = 2.604 Å, I = 36
- d = 2.338 Å, I = 18
- d = 2.296 Å, I = 74
- d = 2.181 Å, I = 33
- d = 2.013 Å, I = 22
- d = 1.409 Å, I = 56

Crystal structure
a b c (Å): 18.7805 18.7805 3.1717
angles (deg): 90.00 90.00 169.79
Atoms (fractional coordinates):
Nb (0.0357, 0.9643, 0.7500)
Nb (0.1054, 0.8946, 0.2500)
Nb (0.3469, 0.6531, 0.2500)
Nb (0.6531, 0.3469, 0.7500)
Nb (0.8946, 0.1054, 0.7500)
Nb (0.9643, 0.0357, 0.2500)
Bi (0.2080, 0.7920, 0.2500)
Bi (0.7920, 0.2080, 0.7500)
B (0.4140, 0.5860, 0.2500)
B (0.4399, 0.5601, 0.7500)
B (0.4879, 0.5121, 0.7500)
B (0.5121, 0.4879, 0.2500)
B (0.5601, 0.4399, 0.2500)
B (0.5860, 0.4140, 0.7500)